Theoretical powder diffractogram
Compound: Al2Cu3O6
Radiation: Cu Ka
Structure: a crystal structure in Alexandria, relaxed with PBE
Neutral-atom scattering factors, no anomalous dispersion.

Principal peaks in the range 2θ = 10–90°, by angle:
7.780 Å, 2θ = 11.37°, intensity 29; 6.370 Å, 2θ = 13.90°, intensity 43; 5.549 Å, 2θ = 15.97°, intensity 36; 4.518 Å, 2θ = 19.65°, intensity 29; 3.671 Å, 2θ = 24.25°, intensity 15; 2.613 Å, 2θ = 34.31°, intensity 24; 2.489 Å, 2θ = 36.09°, intensity 100; 2.274 Å, 2θ = 39.63°, intensity 16; 1.992 Å, 2θ = 45.53°, intensity 20; 1.687 Å, 2θ = 54.39°, intensity 18

Cell and atoms:
```
Al2Cu3O6
1.0
2.9341 0.0000 0.0000
0.0000 11.0981 0.0000
-1.4611 0.0000 7.7798
Al Cu O
4 6 12
Direct
0.0478 0.0000 0.1005
0.3738 0.0069 0.7503
0.6262 0.5069 0.2497
0.9522 0.5000 0.8995
0.0951 0.7320 0.1862
0.2747 0.3369 0.5501
0.4541 0.7463 0.9034
0.5459 0.2463 0.0966
0.7253 0.8369 0.4499
0.9049 0.2320 0.8138
0.0607 0.5738 0.1181
0.1396 0.8868 0.2803
0.1820 0.4390 0.3621
0.3239 0.1763 0.6509
0.4157 0.5899 0.8260
0.4837 0.9050 0.9690
0.5163 0.4050 0.0310
0.5843 0.0899 0.1740
0.6761 0.6763 0.3491
0.8180 0.9390 0.6379
0.8604 0.3868 0.7197
0.9393 0.0738 0.8819
```